[1]
# K2RbZnF6
Simulated powder diffraction line list, λ = 1.5418 Å (Cu Kα). Input: a crystal structure in OQMD, relaxed with GGA-PBE.
No peak broadening, texture or thermal motion is included.

Most intense lines, 10 to 90 degrees two-theta, by angle:
- hkl 1 0 1, 17.3 deg, I 305
- hkl 0 1 2, 18.0 deg, I 804
- hkl 0 1 8, 28.4 deg, I 203
- hkl 1 1 0, 29.8 deg, I 1000
- hkl 1 0 10, 33.2 deg, I 569
- hkl 0 2 7, 40.1 deg, I 271
- hkl 0 2 10, 45.3 deg, I 637
- hkl 1 1 12, 45.9 deg, I 207
- hkl 2 1 10, 55.2 deg, I 217
- hkl 2 2 0, 62.0 deg, I 304

Atomic structure:
```
data_K2RbZnF6
_chemical_formula_sum 'K12 Rb6 Zn6 F36'
_space_group_name_H-M_alt 'R -3 m'
_space_group_IT_number 166
_space_group_name_Hall '-R 3 2"'
_cell_length_a 5.9886
_cell_length_b 5.9886
_cell_length_c 31.5684
_cell_angle_alpha 90.00
_cell_angle_beta 90.00
_cell_angle_gamma 120.00
loop_
_atom_site_label
_atom_site_fract_x
_atom_site_fract_y
_atom_site_fract_z
_atom_site_occupancy
K1 0.0000 0.0000 0.1109 1
K2 0.0000 0.0000 0.2893 1
Rb1 0.0000 0.0000 0.0000 1
Rb2 0.0000 0.0000 0.5000 1
Zn1 0.0000 0.0000 0.4117 1
F1 0.0042 0.5021 0.8906 1
F2 0.0343 0.5171 0.2898 1
```

***

[2]
# K2RbZrF7
Simulated powder diffraction line list, λ = 1.5418 Å (Cu Kα). Input: a crystal structure in OQMD, relaxed with GGA-PBE.
No peak broadening, texture or thermal motion is included.

Most intense lines, 10 to 90 degrees two-theta, by angle:
- hkl 0 0 1, 16.2 deg, I 361
- hkl 2 0 0, 25.8 deg, I 453
- hkl 0 2 1, 27.6 deg, I 1000
- hkl 2 0 -2, 28.8 deg, I 508
- hkl 2 2 -1, 31.3 deg, I 234
- hkl 2 2 1, 44.1 deg, I 493
- hkl 4 0 -2, 44.6 deg, I 206
- hkl 0 4 0, 45.2 deg, I 214
- hkl 2 2 -3, 47.8 deg, I 311
- hkl 2 4 0, 52.8 deg, I 196

Atomic structure:
```
data_K2RbZrF7
_chemical_formula_sum 'K4 Rb2 Zr2 F14'
_space_group_name_H-M_alt 'C 1 m 1'
_space_group_IT_number 8
_cell_length_a 8.1794
_cell_length_b 8.0211
_cell_length_c 6.4824
_cell_angle_alpha 90.00
_cell_angle_beta 122.52
_cell_angle_gamma 90.00
loop_
_space_group_symop_operation_xyz
'x,y,z'
'x,-y,z'
'x+1/2,y+1/2,z'
'x+1/2,-y+1/2,z'
loop_
_atom_site_label
_atom_site_fract_x
_atom_site_fract_y
_atom_site_fract_z
_atom_site_occupancy
K1 0.0000 0.2411 0.0000 1
Rb1 0.4929 0.0000 0.5475 1
Zr1 0.4440 0.5000 0.4624 1
F1 0.1136 0.0000 0.3144 1
F2 0.1384 0.5000 0.2464 1
F3 0.1453 0.1695 0.7198 1
F4 0.3627 0.5000 0.7141 1
F5 0.3645 0.2763 0.2716 1
```

***

[3]
# K2ReF8
Simulated powder diffraction line list, λ = 1.5418 Å (Cu Kα). Input: a crystal structure in OQMD, relaxed with GGA-PBE.
No peak broadening, texture or thermal motion is included.

Most intense lines, 10 to 90 degrees two-theta, by angle:
- hkl 0 1 1, 17.3 deg, I 585
- hkl 1 0 2, 18.3 deg, I 1000
- hkl 1 1 1, 20.3 deg, I 655
- hkl 2 0 0, 21.4 deg, I 324
- hkl 2 1 0, 26.6 deg, I 185
- hkl 0 1 3, 27.3 deg, I 408
- hkl 2 1 1, 27.6 deg, I 441
- hkl 1 1 3, 29.4 deg, I 351
- hkl 3 2 2, 48.4 deg, I 208
- hkl 2 2 4, 49.4 deg, I 182

Atomic structure:
```
data_K2ReF8
_chemical_formula_sum 'K8 Re4 F32'
_space_group_name_H-M_alt 'P n m a'
_space_group_IT_number 62
_cell_length_a 8.2949
_cell_length_b 5.6864
_cell_length_c 11.9559
_cell_angle_alpha 90.00
_cell_angle_beta 90.00
_cell_angle_gamma 90.00
loop_
_space_group_symop_operation_xyz
'x,y,z'
'-x,-y,-z'
'-x+1/2,-y,z+1/2'
'x+1/2,y,-z+1/2'
'x+1/2,-y+1/2,-z+1/2'
'-x+1/2,y+1/2,z+1/2'
'-x,y+1/2,-z'
'x,-y+1/2,z'
loop_
_atom_site_label
_atom_site_fract_x
_atom_site_fract_y
_atom_site_fract_z
_atom_site_occupancy
K1 0.0541 0.2500 0.2107 1
K2 0.1672 0.2500 0.5582 1
Re1 0.2141 0.2500 0.8780 1
F1 0.0146 0.7500 0.1618 1
F2 0.0975 0.5399 0.3857 1
F3 0.1246 0.5316 0.9405 1
F4 0.2021 0.0392 0.7477 1
F5 0.2250 0.7500 0.5381 1
```